This entry pairs a crystal structure of CuH2CS2N with its theoretical PXRD pattern. Radiation: λ = 1.5418 Å (Cu Kα). Structure: the PBE geometry in Alexandria.
Kinematic intensities with the Lorentz-polarization factor, no thermal factor.

Largest 12 diffraction maxima, in order of rising 2θ, 2θ = 10–90°:
- 16.05°, I 100, (0 1 1)
- 17.54°, I 14, (1 0 1)
- 21.93°, I 29, (1 1 1)
- 27.34°, I 50, (1 1 2)
- 30.33°, I 23, (1 2 0)
- 31.79°, I 14, (1 2 1)
- 34.16°, I 14, (2 1 1)
- 34.65°, I 16, (1 1 3)
- 35.84°, I 21, (1 2 2)
- 41.42°, I 18, (2 2 1)
- 47.06°, I 17, (1 3 2)
- 49.84°, I 14, (2 2 3)

Crystal structure
a b c (Å): 5.9678 6.7777 9.5177
angles (deg): 90.00 90.00 90.00
Space group P2_12_12_1 (No. 19)
Symmetry-distinct sites (fractional):
1 Cu 0.0910 0.2395 0.1316
2 H 0.1004 0.0670 0.5784
3 H 0.1491 0.6552 0.8467
4 C 0.0886 0.0713 0.7952
5 S 0.0846 0.6108 0.5628
6 S 0.1392 0.0171 0.3167
7 N 0.0085 0.0990 0.6665



This entry pairs a crystal structure of Na2CuH4C4O10 with its theoretical PXRD pattern. Radiation: λ = 1.5418 Å (Cu Kα). Structure: the PBE geometry in Alexandria.
Kinematic intensities with the Lorentz-polarization factor, no thermal factor.

Largest 12 diffraction maxima, in order of rising 2θ, 2θ = 10–90°:
- 12.56°, I 88, (0 1 0)
- 13.40°, I 100, (0 1 1)
- 18.04°, I 24, (0 1 -1)
- 24.22°, I 25, (0 2 1)
- 24.56°, I 14, (1 0 0)
- 26.97°, I 91, (1 0 -1)
- 30.68°, I 39, (-1 1 1)
- 34.49°, I 23, (-1 1 2)
- 34.85°, I 19, (1 1 3)
- 38.31°, I 18, (0 3 0)
- 40.93°, I 23, (0 3 3)
- 45.75°, I 16, (1 3 -1)

Crystal structure
a b c (Å): 3.7245 7.5728 9.6391
angles (deg): 71.67 82.99 77.06
Space group P-1 (No. 2)
Symmetry-distinct sites (fractional):
1 Na 0.0972 0.2007 0.0752
2 Cu 0.5000 0.5000 0.5000
3 H 0.4355 0.0252 0.7054
4 H 0.4921 0.1786 0.3170
5 C 0.2160 0.5275 0.2439
6 C 0.3205 0.7211 0.2237
7 O 0.0757 0.5021 0.1431
8 O 0.2742 0.8479 0.1047
9 O 0.2871 0.4022 0.3702
10 O 0.4026 0.8934 0.7522
11 O 0.4572 0.7352 0.3364



This entry pairs a crystal structure of CuHCO4 with its theoretical PXRD pattern. Radiation: λ = 1.5418 Å (Cu Kα). Structure: the PBE geometry in Alexandria.
Kinematic intensities with the Lorentz-polarization factor, no thermal factor.

Largest 12 diffraction maxima, in order of rising 2θ, 2θ = 10–90°:
- 16.56°, I 30, (1 1 0)
- 19.15°, I 100, (2 0 0)
- 28.89°, I 12, (3 0 0)
- 32.27°, I 10, (3 0 1)
- 33.49°, I 14, (2 2 0)
- 34.44°, I 37, (2 0 2)
- 38.44°, I 15, (1 2 2)
- 38.86°, I 10, (4 0 0)
- 44.43°, I 18, (2 2 2)
- 48.80°, I 15, (4 0 2)
- 52.21°, I 17, (4 2 0)
- 60.48°, I 17, (4 2 2)

Crystal structure
a b c (Å): 10.7043 10.7043 6.2957
angles (deg): 90.00 90.00 120.00
Space group P6_3/m (No. 176)
Symmetry-distinct sites (fractional):
1 Cu 0.0000 0.5000 0.0000
2 H 0.1712 0.6367 0.2500
3 C 0.1865 0.7513 0.7500
4 O 0.1092 0.5305 0.2500
5 O 0.1222 0.4153 0.7500
6 O 0.1353 0.6909 0.5662



This entry pairs a crystal structure of Cu3H2C2O8 with its theoretical PXRD pattern. Radiation: λ = 1.5418 Å (Cu Kα). Structure: the PBE geometry in Alexandria.
Kinematic intensities with the Lorentz-polarization factor, no thermal factor.

Largest 12 diffraction maxima, in order of rising 2θ, 2θ = 10–90°:
- 16.88°, I 56, (0 0 2)
- 17.02°, I 26, (0 1 1)
- 23.72°, I 53, (1 0 -2)
- 24.79°, I 100, (1 1 1)
- 34.42°, I 24, (0 2 2)
- 35.22°, I 36, (1 1 3)
- 37.73°, I 20, (1 0 -4)
- 38.42°, I 32, (1 2 -2)
- 39.03°, I 27, (2 1 -1)
- 39.87°, I 31, (2 1 1)
- 45.77°, I 26, (0 1 5)
- 56.43°, I 23, (1 3 3)

Crystal structure
a b c (Å): 5.0894 6.0020 10.5165
angles (deg): 90.00 93.01 90.00
Space group P2_1/c (No. 14)
Symmetry-distinct sites (fractional):
1 Cu 0.0000 0.0000 0.0000
2 Cu 0.2518 0.0010 0.5840
3 H 0.1772 0.7022 0.8741
4 C 0.3361 0.1931 0.8190
5 O 0.0684 0.6896 0.9485
6 O 0.1182 0.0852 0.8332
7 O 0.4343 0.1976 0.7084
8 O 0.4515 0.2060 0.4157